Starting from a GGA-PBE-relaxed structure, the XRD peak list of LaNi4 was simulated for λ = 1.5418 Å (Cu Kα).
Peak positions follow from Bragg's law for the DFT cell and can differ from measured ones.

Structure:
```
LaNi4
1.0
-4.2500 4.2500 4.2500
4.2500 -4.2500 4.2500
4.2500 4.2500 -4.2500
La Ni
4 16
direct
0.0000 0.0000 0.4553
0.0000 0.4553 0.0000
0.4553 0.0000 0.0000
0.5447 0.5447 0.5447
0.0000 0.0000 0.8037
0.0000 0.3544 0.3544
0.0000 0.6456 0.6456
0.0000 0.8037 0.0000
0.1963 0.1963 0.1963
0.2500 0.5000 0.7500
0.2500 0.7500 0.5000
0.3544 0.0000 0.3544
0.3544 0.3544 0.0000
0.5000 0.2500 0.7500
0.5000 0.7500 0.2500
0.6456 0.0000 0.6456
0.6456 0.6456 0.0000
0.7500 0.2500 0.5000
0.7500 0.5000 0.2500
0.8037 0.0000 0.0000
```

Principal peaks in the range 2θ = 5–70°, low angle first:
| Position (°2θ) | Rel. int. |
| --- | --- |
| 29.7 | 582 |
| 36.6 | 1000 |
| 39.7 | 474 |
| 42.5 | 318 |
| 45.3 | 757 |
| 47.9 | 227 |
| 50.4 | 88 |
| 55.1 | 161 |
| 61.7 | 226 |
| 63.9 | 93 |
| 65.9 | 113 |
| 68.0 | 261 |